This entry pairs a crystal structure of Er10Mn13C18 with its computed powder diffraction line list. Radiation: Cu Kα X-rays. Structure: a cell relaxed with PBE.

Atomic structure:
a b c (Å): 8.6728 8.6728 8.6728
angles (deg): 109.47 109.47 109.47
Positions (direct):
Er: 0.0000 0.0000 0.4109
Er: 0.0000 0.4109 0.0000
Er: 0.2500 0.5000 0.7500
Er: 0.2500 0.7500 0.5000
Er: 0.4109 0.0000 0.0000
Er: 0.5000 0.2500 0.7500
Er: 0.5000 0.7500 0.2500
Er: 0.5891 0.5891 0.5891
Er: 0.7500 0.2500 0.5000
Er: 0.7500 0.5000 0.2500
Mn: 0.0000 0.0000 0.0000
Mn: 0.0000 0.6664 0.8199
Mn: 0.0000 0.8199 0.6664
Mn: 0.1535 0.3336 0.3336
Mn: 0.1801 0.1801 0.8465
Mn: 0.1801 0.8465 0.1801
Mn: 0.3336 0.1535 0.3336
Mn: 0.3336 0.3336 0.1535
Mn: 0.6664 0.0000 0.8199
Mn: 0.6664 0.8199 0.0000
Mn: 0.8199 0.0000 0.6664
Mn: 0.8199 0.6664 0.0000
Mn: 0.8465 0.1801 0.1801
C: 0.0000 0.2214 0.7046
C: 0.0000 0.4310 0.4310
C: 0.0000 0.5690 0.5690
C: 0.0000 0.7046 0.2214
C: 0.2214 0.0000 0.7046
C: 0.2214 0.7046 0.0000
C: 0.2954 0.2954 0.5168
C: 0.2954 0.5168 0.2954
C: 0.4310 0.0000 0.4310
C: 0.4310 0.4310 0.0000
C: 0.4832 0.7786 0.7786
C: 0.5168 0.2954 0.2954
C: 0.5690 0.0000 0.5690
C: 0.5690 0.5690 0.0000
C: 0.7046 0.0000 0.2214
C: 0.7046 0.2214 0.0000
C: 0.7786 0.4832 0.7786
C: 0.7786 0.7786 0.4832

Main lines, in order of rising 2θ (2θ = 10–90°):
two_theta, I_rel
28.18, 25
30.93, 100
33.48, 77
35.87, 62
38.13, 56
51.63, 24
56.66, 47
68.90, 25